1.
Diffraction record for Ac3Tl4ZnS8. The XRD peak list is calculated, not measured: it uses DFT lattice parameters and positions (PBE) and CuKα.

Structure:
```
data_Ac3Tl4ZnS8
_chemical_formula_sum 'Ac6 Tl8 Zn2 S16'
_cell_length_a 15.0340
_cell_length_b 8.5214
_cell_length_c 8.7876
_cell_angle_alpha 90.00
_cell_angle_beta 123.78
_cell_angle_gamma 90.00
_symmetry_space_group_name_H-M 'C 1 2/m 1'
_symmetry_Int_Tables_number 12
loop_
_symmetry_equiv_pos_as_xyz
'x,y,z'
'-x,-y,-z'
'-x,y,-z'
'x,-y,z'
'x+1/2,y+1/2,z'
'-x+1/2,-y+1/2,-z'
'-x+1/2,y+1/2,-z'
'x+1/2,-y+1/2,z'
loop_
_atom_site_label
_atom_site_fract_x
_atom_site_fract_y
_atom_site_fract_z
_atom_site_occupancy
Ac1 0.0000 0.0000 0.0000 1
Ac2 0.2500 0.2500 0.0000 1
Tl1 0.0000 0.0000 0.5000 1
Tl2 0.0000 0.5000 0.5000 1
Tl3 0.2500 0.2500 0.5000 1
Zn1 0.0000 0.5000 0.0000 1
S1 0.0102 0.2800 0.8028 1
S2 0.2373 0.0000 0.2197 1
S3 0.2488 0.0000 0.7664 1
```

Peak list (8 most intense, 2θ from 10° to 90°, by angle)
2θ (°)	d (Å)	I_rel
24.37	3.652	41
25.18	3.536	37
25.30	3.520	72
28.57	3.124	54
29.20	3.058	100
40.80	2.212	39
41.83	2.160	38
49.97	1.825	23



2.
Diffraction record for La3SnGe2Pd9. The XRD peak list is calculated, not measured: it uses DFT lattice parameters and positions (PBE) and CuKα.

Structure:
```
data_La3SnGe2Pd9
_chemical_formula_sum 'La3 Sn1 Ge2 Pd9'
_cell_length_a 6.5911
_cell_length_b 6.5911
_cell_length_c 9.1685
_cell_angle_alpha 90.00
_cell_angle_beta 90.00
_cell_angle_gamma 120.00
_symmetry_space_group_name_H-M 'P -3 m 1'
_symmetry_Int_Tables_number 164
_symmetry_space_group_name_Hall '-P 3 2"'
loop_
_atom_site_label
_atom_site_fract_x
_atom_site_fract_y
_atom_site_fract_z
_atom_site_occupancy
La1 0.0000 0.0000 0.0000 1
La2 0.3333 0.6667 0.7195 1
Sn1 0.0000 0.0000 0.5000 1
Ge1 0.3333 0.6667 0.1768 1
Pd1 0.0000 0.5000 0.0000 1
Pd2 0.1413 0.2825 0.2720 1
```

Peak list (8 most intense, 2θ from 10° to 90°, by angle)
2θ (°)	d (Å)	I_rel
27.06	3.296	16
32.87	2.725	62
37.11	2.423	100
39.31	2.292	20
43.38	2.086	25
46.52	1.952	18
55.79	1.648	28
70.37	1.338	17



3.
Diffraction record for CePmMgPb. The XRD peak list is calculated, not measured: it uses DFT lattice parameters and positions (PBE) and CuKα.

Structure:
```
data_CePmMgPb
_chemical_formula_sum 'Ce4 Pm4 Mg4 Pb4'
_cell_length_a 7.7619
_cell_length_b 7.7619
_cell_length_c 7.7619
_cell_angle_alpha 90.00
_cell_angle_beta 90.00
_cell_angle_gamma 90.00
_symmetry_space_group_name_H-M 'F -4 3 m'
_symmetry_Int_Tables_number 216
_symmetry_space_group_name_Hall 'F -4 2 3'
loop_
_atom_site_label
_atom_site_fract_x
_atom_site_fract_y
_atom_site_fract_z
_atom_site_occupancy
Ce1 0.0000 0.0000 0.0000 1
Pm1 0.0000 0.0000 0.5000 1
Mg1 0.2500 0.2500 0.2500 1
Pb1 0.2500 0.2500 0.7500 1
```

Peak list (8 most intense, 2θ from 10° to 90°, by angle)
2θ (°)	d (Å)	I_rel
19.81	4.481	26
32.63	2.744	100
38.47	2.340	16
46.82	1.940	18
51.31	1.781	7
58.23	1.584	39
68.37	1.372	12
77.83	1.227	17



4.
Diffraction record for CeGa3Ir2. The XRD peak list is calculated, not measured: it uses DFT lattice parameters and positions (PBE) and CuKα.

Structure:
```
data_CeGa3Ir2
_chemical_formula_sum 'Ce6 Ga18 Ir12'
_cell_length_a 16.9208
_cell_length_b 4.0838
_cell_length_c 9.6904
_cell_angle_alpha 90.00
_cell_angle_beta 103.69
_cell_angle_gamma 90.00
_symmetry_space_group_name_H-M 'C 1 2/m 1'
_symmetry_Int_Tables_number 12
loop_
_symmetry_equiv_pos_as_xyz
'x,y,z'
'-x,-y,-z'
'-x,y,-z'
'x,-y,z'
'x+1/2,y+1/2,z'
'-x+1/2,-y+1/2,-z'
'-x+1/2,y+1/2,-z'
'x+1/2,-y+1/2,z'
loop_
_atom_site_label
_atom_site_fract_x
_atom_site_fract_y
_atom_site_fract_z
_atom_site_occupancy
Ce1 0.0000 0.0000 0.0000 1
Ce2 0.1509 0.0000 0.6956 1
Ga1 0.0000 0.5000 0.5000 1
Ga2 0.0506 0.0000 0.3588 1
Ga3 0.1463 0.5000 0.1935 1
Ga4 0.1473 0.5000 0.9342 1
Ga5 0.2214 0.0000 0.3733 1
Ir1 0.0062 0.5000 0.7831 1
Ir2 0.1411 0.5000 0.4535 1
Ir3 0.2097 0.0000 0.0903 1
```

Peak list (8 most intense, 2θ from 10° to 90°, by angle)
2θ (°)	d (Å)	I_rel
28.60	3.121	20
30.98	2.886	25
32.68	2.740	28
34.56	2.595	42
35.48	2.530	100
43.21	2.094	27
44.38	2.041	78
44.50	2.036	33



5.
Diffraction record for Ba2Zn3SnAu4. The XRD peak list is calculated, not measured: it uses DFT lattice parameters and positions (PBE) and CuKα.

Structure:
```
data_Ba2Zn3SnAu4
_chemical_formula_sum 'Ba2 Zn3 Sn1 Au4'
_cell_length_a 4.7792
_cell_length_b 4.7792
_cell_length_c 10.6407
_cell_angle_alpha 90.00
_cell_angle_beta 90.00
_cell_angle_gamma 90.00
_symmetry_space_group_name_H-M 'P -4 m 2'
_symmetry_Int_Tables_number 115
loop_
_symmetry_equiv_pos_as_xyz
'x,y,z'
'y,-x,-z'
'-x,-y,z'
'-y,x,-z'
'-x,y,z'
'-y,-x,-z'
'x,-y,z'
'y,x,-z'
loop_
_atom_site_label
_atom_site_fract_x
_atom_site_fract_y
_atom_site_fract_z
_atom_site_occupancy
Ba1 0.0000 0.5000 0.2413 1
Zn1 0.0000 0.5000 0.8840 1
Zn2 0.5000 0.5000 0.5000 1
Sn1 0.0000 0.0000 0.5000 1
Au1 0.0000 0.0000 0.0000 1
Au2 0.0000 0.5000 0.6362 1
Au3 0.5000 0.5000 0.0000 1
```

Peak list (8 most intense, 2θ from 10° to 90°, by angle)
2θ (°)	d (Å)	I_rel
25.07	3.552	18
27.70	3.221	14
31.37	2.851	100
37.64	2.390	52
43.29	2.090	27
49.81	1.831	17
54.29	1.690	18
64.05	1.454	22



6.
Diffraction record for Na2Au2Br7. The XRD peak list is calculated, not measured: it uses DFT lattice parameters and positions (PBE) and CuKα.

Structure:
```
data_Na2Au2Br7
_chemical_formula_sum 'Na4 Au4 Br14'
_cell_length_a 9.3882
_cell_length_b 14.8801
_cell_length_c 5.3989
_cell_angle_alpha 90.00
_cell_angle_beta 106.32
_cell_angle_gamma 90.00
_symmetry_space_group_name_H-M 'C 1 2/m 1'
_symmetry_Int_Tables_number 12
loop_
_symmetry_equiv_pos_as_xyz
'x,y,z'
'-x,-y,-z'
'-x,y,-z'
'x,-y,z'
'x+1/2,y+1/2,z'
'-x+1/2,-y+1/2,-z'
'-x+1/2,y+1/2,-z'
'x+1/2,-y+1/2,z'
loop_
_atom_site_label
_atom_site_fract_x
_atom_site_fract_y
_atom_site_fract_z
_atom_site_occupancy
Na1 0.0000 0.2034 0.0000 1
Au1 0.2257 0.5000 0.2718 1
Br1 0.0000 0.5000 0.5000 1
Br2 0.0955 0.0000 0.2224 1
Br3 0.2466 0.3344 0.2362 1
```

Peak list (8 most intense, 2θ from 10° to 90°, by angle)
2θ (°)	d (Å)	I_rel
11.90	7.440	100
18.19	4.877	45
19.71	4.505	46
22.87	3.889	85
30.51	2.930	66
34.77	2.580	33
36.22	2.480	36
51.03	1.790	42



7.
Diffraction record for In2CoW. The XRD peak list is calculated, not measured: it uses DFT lattice parameters and positions (PBE) and CuKα.

Structure:
```
data_In2CoW
_chemical_formula_sum 'In6 Co3 W3'
_cell_length_a 3.0074
_cell_length_b 3.0074
_cell_length_c 27.6037
_cell_angle_alpha 90.00
_cell_angle_beta 90.00
_cell_angle_gamma 120.00
_symmetry_space_group_name_H-M 'R 3 m'
_symmetry_Int_Tables_number 160
_symmetry_space_group_name_Hall 'R 3 -2"'
loop_
_atom_site_label
_atom_site_fract_x
_atom_site_fract_y
_atom_site_fract_z
_atom_site_occupancy
In1 0.0000 0.0000 0.0000 1
In2 0.0000 0.0000 0.2338 1
Co1 0.0000 0.0000 0.4886 1
W1 0.0000 0.0000 0.7558 1
```

Peak list (8 most intense, 2θ from 10° to 90°, by angle)
2θ (°)	d (Å)	I_rel
29.12	3.067	15
36.89	2.437	100
39.16	2.300	18
43.54	2.079	53
55.87	1.646	12
61.69	1.504	23
74.09	1.280	13
75.54	1.259	15



8.
Diffraction record for Ce8Pu2Co. The XRD peak list is calculated, not measured: it uses DFT lattice parameters and positions (PBE) and CuKα.

Structure:
```
data_Ce8Pu2Co
_chemical_formula_sum 'Ce8 Pu2 Co1'
_cell_length_a 6.9586
_cell_length_b 6.9586
_cell_length_c 6.7681
_cell_angle_alpha 90.00
_cell_angle_beta 90.00
_cell_angle_gamma 120.00
_symmetry_space_group_name_H-M 'P -3 m 1'
_symmetry_Int_Tables_number 164
_symmetry_space_group_name_Hall '-P 3 2"'
loop_
_atom_site_label
_atom_site_fract_x
_atom_site_fract_y
_atom_site_fract_z
_atom_site_occupancy
Ce1 0.1620 0.3239 0.2286 1
Ce2 0.3333 0.6667 0.5434 1
Pu1 0.3333 0.6667 0.9818 1
Co1 0.0000 0.0000 0.5000 1
```

Peak list (8 most intense, 2θ from 10° to 90°, by angle)
2θ (°)	d (Å)	I_rel
25.60	3.479	35
29.65	3.013	46
30.29	2.951	34
32.53	2.753	99
37.06	2.426	100
52.61	1.740	47
53.01	1.727	36
77.94	1.226	23



9.
Diffraction record for H6Pd3Rh. The XRD peak list is calculated, not measured: it uses DFT lattice parameters and positions (PBE) and CuKα.

Structure:
```
data_H6Pd3Rh
_chemical_formula_sum 'H18 Pd9 Rh3'
_cell_length_a 4.8368
_cell_length_b 4.8368
_cell_length_c 11.7457
_cell_angle_alpha 90.00
_cell_angle_beta 90.00
_cell_angle_gamma 120.00
_symmetry_space_group_name_H-M 'R 3'
_symmetry_Int_Tables_number 146
_symmetry_space_group_name_Hall 'R 3'
loop_
_atom_site_label
_atom_site_fract_x
_atom_site_fract_y
_atom_site_fract_z
_atom_site_occupancy
H1 0.0103 0.7441 0.0000 1
H2 0.0163 0.2905 0.5113 1
Pd1 0.0000 0.0000 0.1360 1
Pd2 0.0000 0.0000 0.3898 1
Pd3 0.0000 0.0000 0.6383 1
Rh1 0.0000 0.0000 0.8880 1
```

Peak list (8 most intense, 2θ from 10° to 90°, by angle)
2θ (°)	d (Å)	I_rel
37.18	2.418	100
37.40	2.404	99
53.76	1.705	35
67.03	1.396	18
67.17	1.394	35
67.61	1.386	17
79.22	1.209	11
79.77	1.202	10



10.
Diffraction record for U2Be17. The XRD peak list is calculated, not measured: it uses DFT lattice parameters and positions (PBE) and CuKα.

Structure:
```
data_U2Be17
_chemical_formula_sum 'U6 Be51'
_cell_length_a 7.6891
_cell_length_b 7.6891
_cell_length_c 11.2557
_cell_angle_alpha 90.00
_cell_angle_beta 90.00
_cell_angle_gamma 120.00
_symmetry_space_group_name_H-M 'R -3 m'
_symmetry_Int_Tables_number 166
_symmetry_space_group_name_Hall '-R 3 2"'
loop_
_atom_site_label
_atom_site_fract_x
_atom_site_fract_y
_atom_site_fract_z
_atom_site_occupancy
U1 0.0000 0.0000 0.1574 1
Be1 0.0000 0.0000 0.4030 1
Be2 0.0000 0.2803 0.5000 1
Be3 0.0000 0.5000 0.0000 1
Be4 0.0050 0.5025 0.3414 1
```

Peak list (8 most intense, 2θ from 10° to 90°, by angle)
2θ (°)	d (Å)	I_rel
15.46	5.731	70
23.14	3.845	100
23.71	3.752	31
33.37	2.685	88
40.65	2.220	29
47.60	1.910	39
48.53	1.876	23
69.35	1.355	32



11.
Diffraction record for La2Tb4Sc. The XRD peak list is calculated, not measured: it uses DFT lattice parameters and positions (PBE) and CuKα.

Structure:
```
data_La2Tb4Sc
_chemical_formula_sum 'La8 Tb16 Sc4'
_cell_length_a 9.7375
_cell_length_b 9.7375
_cell_length_c 9.7568
_cell_angle_alpha 90.00
_cell_angle_beta 90.00
_cell_angle_gamma 90.00
_symmetry_space_group_name_H-M 'I -4 2 d'
_symmetry_Int_Tables_number 122
_symmetry_space_group_name_Hall 'I -4 2bw'
loop_
_atom_site_label
_atom_site_fract_x
_atom_site_fract_y
_atom_site_fract_z
_atom_site_occupancy
La1 0.1211 0.7500 0.1250 1
Tb1 0.0767 0.6757 0.4617 1
Sc1 0.0000 0.0000 0.5000 1
```

Peak list (8 most intense, 2θ from 10° to 90°, by angle)
2θ (°)	d (Å)	I_rel
22.34	3.979	17
28.98	3.081	100
34.43	2.605	87
45.61	1.989	25
47.59	1.911	21
58.34	1.582	13
58.42	1.580	15
61.70	1.503	17



12.
Diffraction record for Nb2VS3. The XRD peak list is calculated, not measured: it uses DFT lattice parameters and positions (PBE) and CuKα.

Structure:
```
data_Nb2VS3
_chemical_formula_sum 'Nb4 V2 S6'
_cell_length_a 3.3321
_cell_length_b 12.1045
_cell_length_c 5.4703
_cell_angle_alpha 90.00
_cell_angle_beta 90.00
_cell_angle_gamma 90.00
_symmetry_space_group_name_H-M 'I m m 2'
_symmetry_Int_Tables_number 44
loop_
_symmetry_equiv_pos_as_xyz
'x,y,z'
'-x,-y,z'
'-x,y,z'
'x,-y,z'
'x+1/2,y+1/2,z+1/2'
'-x+1/2,-y+1/2,z+1/2'
'-x+1/2,y+1/2,z+1/2'
'x+1/2,-y+1/2,z+1/2'
loop_
_atom_site_label
_atom_site_fract_x
_atom_site_fract_y
_atom_site_fract_z
_atom_site_occupancy
Nb1 0.0000 0.1974 0.0000 1
V1 0.0000 0.5000 0.0909 1
S1 0.0000 0.0000 0.8651 1
S2 0.0000 0.3705 0.7857 1
```

Peak list (8 most intense, 2θ from 10° to 90°, by angle)
2θ (°)	d (Å)	I_rel
14.64	6.052	19
27.47	3.247	73
31.44	2.846	100
34.88	2.572	31
36.03	2.492	15
40.76	2.214	25
46.36	1.959	19
48.62	1.873	45



13.
Diffraction record for ScHSO. The XRD peak list is calculated, not measured: it uses DFT lattice parameters and positions (PBE) and CuKα.

Structure:
```
data_ScHSO
_chemical_formula_sum 'Sc3 H3 S3 O3'
_cell_length_a 3.5284
_cell_length_b 3.5284
_cell_length_c 16.6732
_cell_angle_alpha 90.00
_cell_angle_beta 90.00
_cell_angle_gamma 120.00
_symmetry_space_group_name_H-M 'R 3 m'
_symmetry_Int_Tables_number 160
_symmetry_space_group_name_Hall 'R 3 -2"'
loop_
_atom_site_label
_atom_site_fract_x
_atom_site_fract_y
_atom_site_fract_z
_atom_site_occupancy
Sc1 0.0000 0.0000 0.0000 1
H1 0.0000 0.0000 0.4537 1
S1 0.0000 0.0000 0.5791 1
O1 0.0000 0.0000 0.3933 1
```

Peak list (8 most intense, 2θ from 10° to 90°, by angle)
2θ (°)	d (Å)	I_rel
15.95	5.558	100
31.17	2.869	97
40.02	2.253	78
48.46	1.879	31
51.82	1.764	37
54.58	1.682	19
67.42	1.389	17
89.87	1.091	22



14.
Diffraction record for CaZn6Pd. The XRD peak list is calculated, not measured: it uses DFT lattice parameters and positions (PBE) and CuKα.

Structure:
```
data_CaZn6Pd
_chemical_formula_sum 'Ca1 Zn6 Pd1'
_cell_length_a 5.1824
_cell_length_b 5.1824
_cell_length_c 5.1824
_cell_angle_alpha 90.00
_cell_angle_beta 90.00
_cell_angle_gamma 90.00
_symmetry_space_group_name_H-M 'P m -3'
_symmetry_Int_Tables_number 200
_symmetry_space_group_name_Hall '-P 2 2 3'
loop_
_atom_site_label
_atom_site_fract_x
_atom_site_fract_y
_atom_site_fract_z
_atom_site_occupancy
Ca1 0.0000 0.0000 0.0000 1
Zn1 0.0000 0.2602 0.5000 1
Pd1 0.5000 0.5000 0.5000 1
```

Peak list (8 most intense, 2θ from 10° to 90°, by angle)
2θ (°)	d (Å)	I_rel
17.11	5.182	12
34.62	2.591	34
38.86	2.318	100
42.74	2.116	74
64.87	1.437	20
67.64	1.385	36
73.03	1.296	13
85.95	1.131	18